Na6MgCo2O6: computed PXRD pattern (Cu Kα (weighted mean of Kα1 and Kα2)), based on the GGA+U geometry in the Materials Project.
Peak positions follow from Bragg's law for the DFT cell and can differ from measured ones.

Cell and atoms:
Cell lengths 4.405, 7.592, 7.890 Å; angles 115.19, 90.95, 90.83 degrees
Space group P-1 (No. 2)
Inequivalent atoms, fractional coordinates:
1 Na 0.192 0.119 0.346 x2
2 Na 0.222 0.247 0.842 x2
3 Na 0.284 0.613 0.431 x2
4 Mg 0.500 0.000 0.000 x1
5 Co 0.238 0.645 0.820 x2
6 O 0.214 0.397 0.643 x2
7 O 0.278 0.805 0.074 x2
8 O 0.311 0.853 0.740 x2

Peak list (12 most intense, 15° ≤ 2θ ≤ 90°, low angle first)
2θ 23.47, intensity 87; 2θ 23.74, intensity 37; 2θ 24.01, intensity 34; 2θ 24.38, intensity 100; 2θ 27.31, intensity 57; 2θ 31.88, intensity 50; 2θ 32.69, intensity 29; 2θ 33.47, intensity 31; 2θ 41.00, intensity 68; 2θ 43.68, intensity 53; 2θ 46.54, intensity 28; 2θ 49.96, intensity 30



Na4MgCo2O6: computed PXRD pattern (Cu Kα (weighted mean of Kα1 and Kα2)), based on the GGA+U geometry in the Materials Project.
Peak positions follow from Bragg's law for the DFT cell and can differ from measured ones.

Cell and atoms:
Cell lengths 6.102, 11.488, 5.039 Å; angles 90.00, 91.90, 90.00 degrees
Space group Cm (No. 8)
Inequivalent atoms, fractional coordinates:
1 Na 0.000 0.169 0.000 x4
2 Na 0.112 0.305 0.525 x4
3 Mg 0.257 0.500 0.327 x2
4 Co 0.171 0.000 0.465 x2
5 Co 0.470 0.000 0.942 x2
6 O 0.129 0.370 0.065 x4
7 O 0.190 0.000 0.076 x2
8 O 0.483 0.376 0.502 x4
9 O 0.484 0.000 0.561 x2

Peak list (12 most intense, 15° ≤ 2θ ≤ 90°, low angle first)
2θ 15.43, intensity 100; 2θ 23.83, intensity 46; 2θ 27.50, intensity 52; 2θ 29.29, intensity 29; 2θ 32.58, intensity 37; 2θ 33.12, intensity 21; 2θ 34.90, intensity 17; 2θ 35.65, intensity 56; 2θ 46.00, intensity 38; 2θ 47.48, intensity 45; 2θ 50.85, intensity 42; 2θ 60.79, intensity 18



Na8MgCo2O8: computed PXRD pattern (Cu Kα (weighted mean of Kα1 and Kα2)), based on the GGA+U geometry in the Materials Project.
Peak positions follow from Bragg's law for the DFT cell and can differ from measured ones.

Cell and atoms:
Cell lengths 5.589, 5.960, 8.860 Å; angles 72.64, 87.71, 70.74 degrees
Space group P1 (No. 1)
Inequivalent atoms, fractional coordinates:
1 Na 0.000 0.000 0.000 x1
2 Na 0.003 0.204 0.578 x1
3 Na 0.018 0.529 0.786 x1
4 Na 0.481 0.295 0.388 x1
5 Na 0.492 0.879 0.219 x1
6 Na 0.500 0.717 0.578 x1
7 Na 0.674 0.699 0.943 x1
8 Na 0.976 0.794 0.407 x1
9 Mg 0.450 0.325 0.017 x1
10 Co 0.515 0.201 0.735 x1
11 Co 0.964 0.334 0.243 x1
12 O 0.103 0.531 0.063 x1
13 O 0.215 0.058 0.371 x1
14 O 0.266 0.435 0.593 x1
15 O 0.385 0.065 0.943 x1
16 O 0.651 0.404 0.825 x1
17 O 0.731 0.183 0.185 x1
18 O 0.744 0.949 0.675 x1
19 O 0.769 0.532 0.359 x1

Peak list (12 most intense, 15° ≤ 2θ ≤ 90°, low angle first)
2θ 16.53, intensity 100; 2θ 19.28, intensity 65; 2θ 20.02, intensity 61; 2θ 31.82, intensity 40; 2θ 33.81, intensity 54; 2θ 34.05, intensity 45; 2θ 37.29, intensity 87; 2θ 38.42, intensity 68; 2θ 38.53, intensity 79; 2θ 39.15, intensity 31; 2θ 40.85, intensity 37; 2θ 54.61, intensity 34



NaMgCo3O6: computed PXRD pattern (Cu Kα (weighted mean of Kα1 and Kα2)), based on the GGA+U geometry in the Materials Project.
Peak positions follow from Bragg's law for the DFT cell and can differ from measured ones.

Cell and atoms:
Cell lengths 5.025, 5.077, 5.894 Å; angles 91.08, 114.87, 119.27 degrees
Space group P1 (No. 1)
Inequivalent atoms, fractional coordinates:
1 Na 0.000 0.000 0.000 x1
2 Mg 0.680 0.343 0.026 x1
3 Co 0.047 0.525 0.574 x1
4 Co 0.333 0.171 0.504 x1
5 Co 0.647 0.826 0.464 x1
6 O 0.176 0.424 0.305 x1
7 O 0.182 0.242 0.733 x1
8 O 0.492 0.938 0.713 x1
9 O 0.547 0.131 0.302 x1
10 O 0.778 0.546 0.722 x1
11 O 0.873 0.767 0.302 x1

Peak list (12 most intense, 15° ≤ 2θ ≤ 90°, low angle first)
2θ 17.29, intensity 100; 2θ 35.14, intensity 24; 2θ 35.37, intensity 30; 2θ 35.74, intensity 22; 2θ 39.45, intensity 39; 2θ 40.10, intensity 17; 2θ 50.33, intensity 28; 2θ 50.50, intensity 18; 2θ 50.92, intensity 12; 2θ 51.11, intensity 20; 2θ 62.95, intensity 11; 2θ 64.11, intensity 11